No. 1
The following is a theoretical powder XRD pattern of LiMnF4. It was derived from a GGA+U-relaxed structure, using copper Kα.
Peak positions follow from Bragg's law for the DFT cell and can differ from measured ones.

Top 8 peaks for 15° ≤ 2θ ≤ 90°, in order of rising 2θ:
17.4 deg, I 65, hkl 2 0 -1
22.2 deg, I 69, hkl 1 1 0
25.2 deg, I 100, hkl 1 1 -1
27.3 deg, I 94, hkl 1 1 1
29.4 deg, I 46, hkl 4 0 -1
42.4 deg, I 70, hkl 0 2 0
42.7 deg, I 40, hkl 0 0 3
43.8 deg, I 34, hkl 6 0 -1

Crystal structure
```
data_LiMnF4
_chemical_formula_sum 'Li4 Mn4 F16'
_space_group_name_H-M_alt 'C 1 2/m 1'
_space_group_IT_number 12
_space_group_name_Hall '-C 2y'
_cell_length_a 12.4269
_cell_length_b 4.2593
_cell_length_c 6.5977
_cell_angle_alpha 90.00
_cell_angle_beta 105.61
_cell_angle_gamma 90.00
loop_
_atom_site_label
_atom_site_type_symbol
_atom_site_fract_x
_atom_site_fract_y
_atom_site_fract_z
Li1 Li 0.0957 0.0000 0.2204
Mn1 Mn 0.2017 0.0000 0.8038
F1 F 0.0646 0.0000 0.8667
F2 F 0.1389 0.0000 0.5194
F3 F 0.1531 0.5000 0.2214
F4 F 0.2340 0.5000 0.8809
```

No. 2
The following is a theoretical powder XRD pattern of Co2P2NO8. It was derived from a GGA+U-relaxed structure, using copper Kα.
Peak positions follow from Bragg's law for the DFT cell and can differ from measured ones.

Top 8 peaks for 15° ≤ 2θ ≤ 90°, in order of rising 2θ:
19.7 deg, I 96, hkl 0 0 2
21.7 deg, I 51, hkl 3 1 -1
22.4 deg, I 78, hkl 1 3 -1
25.6 deg, I 100, hkl 2 2 -2
26.1 deg, I 36, hkl 0 4 0
26.6 deg, I 82, hkl 4 0 0
28.6 deg, I 37, hkl 3 3 -1
32.3 deg, I 27, hkl 1 1 3

Crystal structure
```
data_Co2P2NO8
_chemical_formula_sum 'Co16 P16 N8 O64'
_space_group_name_H-M_alt 'C 1 2/c 1'
_space_group_IT_number 15
_space_group_name_Hall '-C 2yc'
_cell_length_a 13.5981
_cell_length_b 13.6386
_cell_length_c 9.1198
_cell_angle_alpha 90.00
_cell_angle_beta 99.45
_cell_angle_gamma 90.00
loop_
_atom_site_label
_atom_site_type_symbol
_atom_site_fract_x
_atom_site_fract_y
_atom_site_fract_z
Co1 Co 0.0822 0.1312 0.0584
Co2 Co 0.1372 0.4414 0.3928
P1 P 0.0763 0.3677 0.0465
P2 P 0.1409 0.0618 0.4097
N1 N 0.1760 0.2483 0.7233
O1 O 0.0385 0.3680 0.4607
O2 O 0.0556 0.1147 0.4716
O3 O 0.1052 0.4267 0.9141
O4 O 0.1110 0.2612 0.0313
O5 O 0.1290 0.0514 0.9207
O6 O 0.1302 0.4140 0.1922
O7 O 0.1439 0.0890 0.2463
O8 O 0.2404 0.0946 0.5029
```